Calculated PXRD pattern
Compound: HoEr3
Radiation: λ = 1.5418 Å (Cu Kα)
Structure: a crystal structure in the Materials Project, relaxed with PBE

Structure:
a = 7.166 Å, b = 7.166 Å, c = 5.601 Å
α = 90.00°, β = 90.00°, γ = 120.00°
Fractional coordinates of all 8 atoms:
Ho 0.333 0.667 0.250
Ho 0.667 0.333 0.750
Er 0.166 0.333 0.750
Er 0.166 0.834 0.750
Er 0.333 0.166 0.250
Er 0.667 0.834 0.750
Er 0.834 0.166 0.250
Er 0.834 0.667 0.250

Top 6 peaks for 15° ≤ 2θ ≤ 90°, in order of rising 2θ:
hkl	2θ (°)	d [Å]	intensity
2 0 0	28.77	3.103	23.8
0 0 2	31.96	2.800	24.2
2 0 1	33.00	2.714	100.0
2 2 0	50.98	1.791	19.7
2 0 3	57.62	1.600	20.5
2 2 2	61.44	1.509	22.6